No. 1
Simulated powder diffraction line list of MgMn6O4F8 for CuKα, from a PBE+U-relaxed structure.

Most intense lines, 5 to 70 degrees two-theta, in order of rising 2θ:
- 2θ 18.3, rel. 273
- 2θ 22.0, rel. 291
- 2θ 24.4, rel. 645
- 2θ 25.3, rel. 1000
- 2θ 31.8, rel. 454
- 2θ 32.2, rel. 249
- 2θ 32.4, rel. 286
- 2θ 35.4, rel. 363
- 2θ 41.5, rel. 480
- 2θ 49.7, rel. 256

Structural model:
```
MgMn6O4F8
1.0
5.332 0.000 0.000
0.234 5.948 0.000
0.087 0.222 8.048
Mg Mn O F
1 6 4 8
Cartesian
0.000 0.000 0.000
0.296 3.179 7.975
1.199 4.568 4.935
1.552 0.883 2.649
3.259 4.697 7.411
3.683 3.403 2.426
3.920 1.668 5.200
2.902 2.062 3.473
4.628 4.399 1.029
5.063 1.760 6.864
5.529 4.613 6.733
0.101 0.425 4.128
2.073 5.926 0.620
2.246 3.057 0.861
2.449 4.889 3.215
2.595 3.271 6.032
2.855 6.009 5.832
5.128 3.410 3.843
5.221 1.588 1.428
```


No. 2
Simulated powder diffraction line list of Li2MnP2O7 for CuKα, from a PBE+U-relaxed structure.

Most intense lines, 5 to 70 degrees two-theta, in order of rising 2θ:
- 2θ 11.0, rel. 501
- 2θ 17.6, rel. 659
- 2θ 18.5, rel. 521
- 2θ 20.2, rel. 337
- 2θ 22.0, rel. 1000
- 2θ 23.5, rel. 815
- 2θ 30.3, rel. 536
- 2θ 30.6, rel. 368
- 2θ 33.3, rel. 853
- 2θ 41.7, rel. 339

Structural model:
```
Li2MnP2O7
1.0
6.661 0.000 0.000
2.699 8.966 0.000
0.261 4.344 9.575
Li Mn P O
8 4 8 28
Cartesian
0.000 0.000 0.000
1.925 9.503 8.628
2.866 8.673 5.009
2.565 5.401 5.148
3.144 4.335 1.491
5.263 7.122 3.968
3.835 0.519 0.614
6.768 6.785 6.312
4.809 9.050 7.875
3.780 3.437 7.480
5.493 1.454 2.884
7.036 4.773 2.433
3.064 11.798 7.051
2.522 7.280 2.324
2.656 6.532 8.020
2.240 1.995 3.249
5.028 6.758 0.904
6.398 9.664 5.496
5.546 4.215 4.835
6.799 7.070 9.387
2.037 5.923 1.797
1.391 6.085 8.999
2.102 6.639 6.590
3.180 10.261 7.155
3.628 10.190 3.344
2.062 3.512 3.042
1.686 3.572 7.032
3.121 7.150 3.738
3.739 7.710 1.277
3.089 7.909 8.558
4.454 5.478 0.275
5.624 10.850 4.735
3.683 5.453 8.279
3.286 1.421 2.284
4.218 4.435 5.547
6.120 11.971 9.558
5.515 8.392 5.489
5.705 6.450 2.239
6.508 10.202 6.950
5.429 3.636 3.399
6.125 7.392 8.052
5.726 1.807 0.721
6.425 5.487 4.801
7.738 9.442 4.805
8.193 8.402 2.085
8.723 12.348 8.088
7.108 3.989 0.461
6.332 3.038 5.596
```


No. 3
Simulated powder diffraction line list of Li9Mn2Co5O16 for CuKα, from a PBE+U-relaxed structure.

Most intense lines, 5 to 70 degrees two-theta, in order of rising 2θ:
- 2θ 18.5, rel. 1000
- 2θ 34.9, rel. 174
- 2θ 36.7, rel. 122
- 2θ 36.9, rel. 118
- 2θ 37.5, rel. 82
- 2θ 42.0, rel. 309
- 2θ 44.6, rel. 260
- 2θ 44.8, rel. 251
- 2θ 47.7, rel. 94
- 2θ 63.0, rel. 149

Structural model:
```
Li9Mn2Co5O16
1.0
6.442 0.000 0.000
2.015 6.133 0.000
0.342 3.242 7.151
Li Mn Co O
9 2 5 16
Cartesian
0.000 0.000 0.000
0.746 1.706 2.146
2.264 5.283 6.726
3.502 5.665 4.011
4.686 5.974 1.337
4.246 3.367 5.890
5.369 3.693 3.116
6.533 4.052 0.391
8.037 7.574 4.897
1.527 3.530 4.481
2.739 3.863 1.737
4.258 7.411 6.232
5.440 7.723 3.552
4.613 1.895 0.869
6.144 5.461 5.419
7.284 5.806 2.607
1.512 5.434 4.753
2.516 7.315 7.073
2.679 5.754 2.071
3.593 7.751 4.170
2.212 3.206 6.235
2.781 1.927 1.538
3.330 3.548 3.648
4.316 5.507 5.977
4.544 3.864 1.142
5.520 5.828 3.331
6.059 7.417 5.563
6.573 6.135 0.697
5.228 1.570 2.943
6.163 3.542 5.055
6.376 2.012 0.247
7.385 3.838 2.547
```


No. 4
Simulated powder diffraction line list of Ba2La2MnW2O12 for CuKα, from a PBE+U-relaxed structure.

Most intense lines, 5 to 70 degrees two-theta, in order of rising 2θ:
- 2θ 17.9, rel. 151
- 2θ 21.8, rel. 145
- 2θ 28.7, rel. 1000
- 2θ 30.8, rel. 936
- 2θ 42.6, rel. 500
- 2θ 49.4, rel. 158
- 2θ 53.5, rel. 369
- 2θ 54.8, rel. 187
- 2θ 64.2, rel. 174
- 2θ 68.4, rel. 112

Structural model:
```
Ba2La2MnW2O12
1.0
2.900 1.674 9.252
-2.900 1.674 9.252
0.000 -3.348 9.252
Ba La Mn W O
2 2 1 2 12
Cartesian
0.000 0.000 3.740
0.000 0.000 24.014
0.000 0.000 8.136
0.000 0.000 19.619
0.000 0.000 0.000
0.000 0.000 11.615
0.000 0.000 16.140
-1.448 -0.836 12.510
0.000 -1.524 10.311
-1.319 0.762 10.311
-1.319 -0.762 17.444
0.000 -1.672 15.245
-1.448 0.836 15.245
1.448 -0.836 12.510
0.000 1.672 12.510
1.319 0.762 10.311
1.319 -0.762 17.444
0.000 1.524 17.444
1.448 0.836 15.245
```


No. 5
Simulated powder diffraction line list of InFe17O24 for CuKα, from a PBE+U-relaxed structure.

Most intense lines, 5 to 70 degrees two-theta, in order of rising 2θ:
- 2θ 29.5, rel. 769
- 2θ 34.7, rel. 933
- 2θ 34.8, rel. 910
- 2θ 35.0, rel. 957
- 2θ 42.4, rel. 285
- 2θ 55.6, rel. 260
- 2θ 56.0, rel. 334
- 2θ 56.2, rel. 267
- 2θ 61.3, rel. 1000
- 2θ 61.8, rel. 196

Structural model:
```
InFe17O24
1.0
-3.001 9.070 4.300
3.001 -9.070 4.300
3.001 9.070 -4.300
In Fe O
1 17 24
Cartesian
0.000 0.000 0.000
3.001 4.503 -1.143
3.001 0.000 2.017
1.517 3.051 1.055
4.484 3.051 1.055
3.001 7.538 -1.044
0.000 6.066 0.041
0.000 1.532 3.257
3.001 6.080 2.068
1.471 9.070 1.015
1.529 0.000 5.316
0.000 4.567 3.158
0.000 12.074 0.041
0.000 7.574 3.152
0.000 2.990 6.369
0.000 10.566 3.152
-1.484 6.019 5.355
1.484 6.019 5.355
3.001 -1.510 0.830
1.617 2.976 -1.127
4.384 2.976 -1.127
3.001 7.408 -3.076
3.001 1.510 0.830
1.593 6.032 -1.064
1.408 -3.038 3.237
0.000 1.663 1.225
3.001 4.512 0.957
1.575 9.070 -1.095
1.426 0.000 3.206
0.000 4.548 1.153
3.001 7.646 0.957
1.593 12.108 -1.064
1.408 3.038 3.237
0.000 7.602 1.187
0.000 1.424 5.257
-1.384 6.094 3.174
1.384 6.094 3.174
0.000 10.538 1.187
-1.287 9.070 3.095
1.287 9.070 3.095
0.000 4.558 5.257
0.000 13.592 1.153
```